[1]
For Er6Cd3Tc, DFT lattice parameters and positions (PBE) gives the calculated powder XRD pattern in this record (CuKα).

Cell and atoms:
```
data_Er6Cd3Tc
_chemical_formula_sum 'Er12 Cd6 Tc2'
_symmetry_space_group_name_H-M 'P 1 21/m 1'
_symmetry_Int_Tables_number 11
_cell_length_a 9.0589
_cell_length_b 5.2562
_cell_length_c 11.2746
_cell_angle_alpha 90.00
_cell_angle_beta 108.66
_cell_angle_gamma 90.00
loop_
_symmetry_equiv_pos_as_xyz
'x,y,z'
'-x,-y,-z'
'-x,y+1/2,-z'
'x,-y+1/2,z'
loop_
_atom_site_label
_atom_site_type_symbol
_atom_site_fract_x
_atom_site_fract_y
_atom_site_fract_z
_atom_site_occupancy
Er1 Er 0.0349 0.2500 0.4144 1
Er2 Er 0.1894 0.7500 0.1677 1
Er3 Er 0.2831 0.2500 0.0059 1
Er4 Er 0.3477 0.7500 0.8309 1
Er5 Er 0.3786 0.2500 0.3418 1
Er6 Er 0.3926 0.2500 0.6467 1
Cd1 Cd 0.0113 0.7500 0.8724 1
Cd2 Cd 0.0906 0.2500 0.7203 1
Cd3 Cd 0.2713 0.7500 0.4730 1
Tc1 Tc 0.4632 0.7500 0.0982 1
```

Top 6 peaks for 2θ = 5–70°, most intense first:
hkl 1 1 3, 2θ 34.70, I 100.0; hkl 3 1 -1, 2θ 34.29, I 74.6; hkl 0 2 0, 2θ 34.12, I 68.5; hkl 2 0 -4, 2θ 33.36, I 28.5; hkl 2 1 -3, 2θ 31.96, I 27.8; hkl 2 2 -4, 2θ 48.46, I 19.9

[2]
For Ba2LiIn6Bi, DFT lattice parameters and positions (PBE) gives the calculated powder XRD pattern in this record (CuKα).

Cell and atoms:
```
data_Ba2LiIn6Bi
_chemical_formula_sum 'Ba4 Li2 In12 Bi2'
_symmetry_space_group_name_H-M 'C 1 2/m 1'
_symmetry_Int_Tables_number 12
_cell_length_a 14.6221
_cell_length_b 6.1197
_cell_length_c 9.9082
_cell_angle_alpha 90.00
_cell_angle_beta 131.63
_cell_angle_gamma 90.00
loop_
_symmetry_equiv_pos_as_xyz
'x,y,z'
'-x,-y,-z'
'-x,y,-z'
'x,-y,z'
'x+1/2,y+1/2,z'
'-x+1/2,-y+1/2,-z'
'-x+1/2,y+1/2,-z'
'x+1/2,-y+1/2,z'
loop_
_atom_site_label
_atom_site_type_symbol
_atom_site_fract_x
_atom_site_fract_y
_atom_site_fract_z
_atom_site_occupancy
Ba1 Ba 0.0230 0.0000 0.2925 1
Li1 Li 0.0000 0.5000 0.0000 1
In1 In 0.1782 0.5000 0.9314 1
In2 In 0.2275 0.2468 0.2422 1
Bi1 Bi 0.0000 0.5000 0.5000 1
```

Top 6 peaks for 2θ = 5–70°, most intense first:
hkl 2 2 0, 2θ 33.59, I 100.0; hkl 2 2 -2, 2θ 34.45, I 50.4; hkl 4 0 -4, 2θ 36.27, I 50.1; hkl 5 1 -2, 2θ 34.12, I 47.5; hkl 2 0 -1, 2θ 12.16, I 46.6; hkl 3 1 -1, 2θ 23.71, I 42.8

[3]
For Sc2Bi2F, DFT lattice parameters and positions (PBE) gives the calculated powder XRD pattern in this record (CuKα).

Cell and atoms:
```
data_Sc2Bi2F
_chemical_formula_sum 'Sc4 Bi4 F2'
_symmetry_space_group_name_H-M 'P 4/m b m'
_symmetry_Int_Tables_number 127
_symmetry_space_group_name_Hall '-P 4 2ab'
_cell_length_a 6.5228
_cell_length_b 6.5228
_cell_length_c 5.2446
_cell_angle_alpha 90.00
_cell_angle_beta 90.00
_cell_angle_gamma 90.00
loop_
_atom_site_label
_atom_site_type_symbol
_atom_site_fract_x
_atom_site_fract_y
_atom_site_fract_z
_atom_site_occupancy
Sc1 Sc 0.1705 0.3295 0.0000 1
Bi1 Bi 0.1712 0.6712 0.5000 1
F1 F 0.0000 0.0000 0.0000 1
```

Top 6 peaks for 2θ = 5–70°, most intense first:
hkl 2 1 1, 2θ 35.20, I 100.0; hkl 0 0 1, 2θ 16.91, I 46.2; hkl 2 1 0, 2θ 30.65, I 29.3; hkl 0 0 2, 2θ 34.19, I 26.9; hkl 4 1 1, 2θ 61.19, I 24.3; hkl 2 0 0, 2θ 27.35, I 22.7

[4]
For Ac4SiHgI2, DFT lattice parameters and positions (PBE) gives the calculated powder XRD pattern in this record (CuKα).

Cell and atoms:
```
data_Ac4SiHgI2
_chemical_formula_sum 'Ac4 Si1 Hg1 I2'
_symmetry_space_group_name_H-M 'P 1 2/m 1'
_symmetry_Int_Tables_number 10
_cell_length_a 8.3114
_cell_length_b 4.6167
_cell_length_c 8.3604
_cell_angle_alpha 90.00
_cell_angle_beta 108.10
_cell_angle_gamma 90.00
loop_
_symmetry_equiv_pos_as_xyz
'x,y,z'
'-x,-y,-z'
'-x,y,-z'
'x,-y,z'
loop_
_atom_site_label
_atom_site_type_symbol
_atom_site_fract_x
_atom_site_fract_y
_atom_site_fract_z
_atom_site_occupancy
Ac1 Ac 0.2250 0.0000 0.2077 1
Ac2 Ac 0.2542 0.5000 0.7872 1
Si1 Si 0.0000 0.5000 0.0000 1
Hg1 Hg 0.5000 0.0000 0.0000 1
I1 I 0.0000 0.0000 0.5000 1
I2 I 0.5000 0.5000 0.5000 1
```

Top 6 peaks for 2θ = 5–70°, most intense first:
hkl 1 1 1, 2θ 26.54, I 100.0; hkl 2 0 -2, 2θ 26.42, I 51.0; hkl 3 1 -1, 2θ 37.88, I 42.0; hkl 1 1 -3, 2θ 37.71, I 32.5; hkl 2 2 -2, 2θ 47.74, I 20.9; hkl 0 2 0, 2θ 39.02, I 20.5

[5]
For ThZn6Ni12, DFT lattice parameters and positions (PBE) gives the calculated powder XRD pattern in this record (CuKα).

Cell and atoms:
```
data_ThZn6Ni12
_chemical_formula_sum 'Th3 Zn18 Ni36'
_symmetry_space_group_name_H-M 'R -3 m'
_symmetry_Int_Tables_number 166
_symmetry_space_group_name_Hall '-R 3 2"'
_cell_length_a 10.5661
_cell_length_b 10.5661
_cell_length_c 8.0240
_cell_angle_alpha 90.00
_cell_angle_beta 90.00
_cell_angle_gamma 120.00
loop_
_atom_site_label
_atom_site_type_symbol
_atom_site_fract_x
_atom_site_fract_y
_atom_site_fract_z
_atom_site_occupancy
Th1 Th 0.0000 0.0000 0.0000 1
Zn1 Zn 0.0559 0.5279 0.2376 1
Ni1 Ni 0.0000 0.3893 0.5000 1
Ni2 Ni 0.0816 0.1633 0.2898 1
```

Top 6 peaks for 2θ = 5–70°, most intense first:
hkl 1 3 1, 2θ 37.16, I 100.0; hkl 1 1 3, 2θ 37.70, I 77.3; hkl 2 1 1, 2θ 28.09, I 60.1; hkl 2 3 2, 2θ 48.97, I 57.9; hkl 0 2 4, 2θ 49.62, I 51.0; hkl 5 0 2, 2θ 55.16, I 47.6

[6]
For KAcI2O, DFT lattice parameters and positions (PBE) gives the calculated powder XRD pattern in this record (CuKα).

Cell and atoms:
```
data_KAcI2O
_chemical_formula_sum 'K2 Ac2 I4 O2'
_symmetry_space_group_name_H-M 'P 4/n m m'
_symmetry_Int_Tables_number 129
_cell_length_a 4.5484
_cell_length_b 4.5484
_cell_length_c 16.8069
_cell_angle_alpha 90.00
_cell_angle_beta 90.00
_cell_angle_gamma 90.00
loop_
_symmetry_equiv_pos_as_xyz
'x,y,z'
'-x,-y,-z'
'-y+1/2,x,z'
'y+1/2,-x,-z'
'-x+1/2,-y+1/2,z'
'x+1/2,y+1/2,-z'
'y,-x+1/2,z'
'-y,x+1/2,-z'
'x+1/2,-y,-z'
'-x+1/2,y,z'
'-y,-x,-z'
'y,x,z'
'-x,y+1/2,-z'
'x,-y+1/2,z'
'y+1/2,x+1/2,-z'
'-y+1/2,-x+1/2,z'
loop_
_atom_site_label
_atom_site_type_symbol
_atom_site_fract_x
_atom_site_fract_y
_atom_site_fract_z
_atom_site_occupancy
K1 K 0.2500 0.2500 0.0931 1
Ac1 Ac 0.2500 0.2500 0.5671 1
I1 I 0.2500 0.2500 0.3255 1
I2 I 0.2500 0.2500 0.8745 1
O1 O 0.2500 0.7500 0.5000 1
```

Top 6 peaks for 2θ = 5–70°, most intense first:
hkl 0 0 1, 2θ 5.26, I 100.0; hkl 1 1 0, 2θ 27.74, I 59.5; hkl 1 0 4, 2θ 28.93, I 59.2; hkl 1 0 3, 2θ 25.22, I 46.2; hkl 2 1 4, 2θ 49.80, I 26.3; hkl 2 0 0, 2θ 39.63, I 26.0

[7]
For Ac7P5Pb, DFT lattice parameters and positions (PBE) gives the calculated powder XRD pattern in this record (CuKα).

Cell and atoms:
```
data_Ac7P5Pb
_chemical_formula_sum 'Ac28 P20 Pb4'
_symmetry_space_group_name_H-M 'C m c m'
_symmetry_Int_Tables_number 63
_symmetry_space_group_name_Hall '-C 2c 2'
_cell_length_a 4.4638
_cell_length_b 14.7044
_cell_length_c 26.6427
_cell_angle_alpha 90.00
_cell_angle_beta 90.00
_cell_angle_gamma 90.00
loop_
_atom_site_label
_atom_site_type_symbol
_atom_site_fract_x
_atom_site_fract_y
_atom_site_fract_z
_atom_site_occupancy
Ac1 Ac 0.0000 0.0268 0.2500 1
Ac2 Ac 0.0000 0.1364 0.5341 1
Ac3 Ac 0.0000 0.3227 0.1707 1
Ac4 Ac 0.0000 0.4104 0.6039 1
P1 P 0.0000 0.0449 0.6421 1
P2 P 0.0000 0.2270 0.0720 1
P3 P 0.0000 0.5000 0.0000 1
Pb1 Pb 0.0000 0.2982 0.7500 1
```

Top 6 peaks for 2θ = 5–70°, most intense first:
hkl 0 2 7, 2θ 26.37, I 100.0; hkl 1 3 2, 2θ 27.85, I 90.8; hkl 1 3 3, 2θ 28.86, I 64.0; hkl 2 0 0, 2θ 40.43, I 58.6; hkl 1 1 4, 2θ 24.76, I 55.0; hkl 1 1 5, 2θ 26.75, I 50.3

[8]
For Ce3Th2In2, DFT lattice parameters and positions (PBE) gives the calculated powder XRD pattern in this record (CuKα).

Cell and atoms:
```
data_Ce3Th2In2
_chemical_formula_sum 'Ce6 Th4 In4'
_symmetry_space_group_name_H-M 'C 1 2/m 1'
_symmetry_Int_Tables_number 12
_cell_length_a 10.9633
_cell_length_b 4.6524
_cell_length_c 7.8407
_cell_angle_alpha 90.00
_cell_angle_beta 95.87
_cell_angle_gamma 90.00
loop_
_symmetry_equiv_pos_as_xyz
'x,y,z'
'-x,-y,-z'
'-x,y,-z'
'x,-y,z'
'x+1/2,y+1/2,z'
'-x+1/2,-y+1/2,-z'
'-x+1/2,y+1/2,-z'
'x+1/2,-y+1/2,z'
loop_
_atom_site_label
_atom_site_type_symbol
_atom_site_fract_x
_atom_site_fract_y
_atom_site_fract_z
_atom_site_occupancy
Ce1 Ce 0.0000 0.0000 0.0000 1
Ce2 Ce 0.2220 0.5000 0.1300 1
Th1 Th 0.1415 0.0000 0.4212 1
In1 In 0.0715 0.5000 0.7194 1
```

Top 6 peaks for 2θ = 5–70°, most intense first:
hkl 1 1 2, 2θ 31.65, I 100.0; hkl 3 1 -1, 2θ 32.42, I 93.5; hkl 4 0 1, 2θ 35.99, I 35.6; hkl 2 0 -3, 2θ 36.74, I 32.6; hkl 0 2 0, 2θ 38.71, I 29.3; hkl 3 3 -1, 2θ 66.12, I 23.8